The following is a calculated X-ray diffraction stick pattern of Sr2MgCu3O5. It was derived from DFT lattice parameters and positions (GGA-PBE), using Cu Kα (λ = 1.5418 Å).

Crystal structure
abc: 3.925 3.290 11.186
angles: 90.00 90.23 90.00
Space group P2/m (No. 10)
Unique sites:
Sr 0.005 0.000 0.177
Mg 0.000 0.000 0.500
Cu 0.494 0.500 0.633
Cu 0.500 0.500 0.000
O 0.000 0.500 0.000
O 0.006 0.500 0.379
O 0.495 0.500 0.824

Peak list (10 most intense, 2θ = 10–90°, low angle first)
- 33.07°, d 2.709, I = 38.2
- 33.21°, d 2.698, I = 36.4
- 35.61°, d 2.521, I = 100.0
- 36.42°, d 2.467, I = 92.6
- 40.31°, d 2.237, I = 21.7
- 46.27°, d 1.962, I = 35.5
- 55.89°, d 1.645, I = 19.3
- 60.18°, d 1.538, I = 20.6
- 60.35°, d 1.534, I = 18.5
- 66.54°, d 1.405, I = 20.4